Calculated powder X-ray diffraction pattern
Compound: Ho3Si6Pd20
Radiation: a wavelength of 1.5418 Å
Structure: DFT lattice parameters and positions (PBE)
No peak broadening, texture or thermal motion is included.

Largest 6 diffraction maxima, low angle first, 2θ = 10–90°:
| d/Å | I/Imax |
| --- | --- |
| 2.751 | 22.9 |
| 2.511 | 36.9 |
| 2.368 | 100.0 |
| 2.175 | 33.3 |
| 2.080 | 22.1 |
| 1.450 | 29.7 |

Atomic structure:
```
Ho3Si6Pd20
1.0
0.0000 6.1519 6.1519
6.1519 0.0000 6.1519
6.1519 6.1519 0.0000
Ho Si Pd
3 6 20
Direct
0.0000 0.0000 0.0000
0.2500 0.2500 0.2500
0.7500 0.7500 0.7500
0.2676 0.2676 0.7324
0.2676 0.7324 0.2676
0.2676 0.7324 0.7324
0.7324 0.2676 0.2676
0.7324 0.2676 0.7324
0.7324 0.7324 0.2676
0.0000 0.0000 0.3451
0.0000 0.0000 0.6549
0.0000 0.3451 0.0000
0.0000 0.3451 0.6549
0.0000 0.6549 0.0000
0.0000 0.6549 0.3451
0.1496 0.6168 0.6168
0.3451 0.0000 0.0000
0.3451 0.0000 0.6549
0.3451 0.6549 0.0000
0.3832 0.3832 0.3832
0.3832 0.3832 0.8504
0.3832 0.8504 0.3832
0.6168 0.1496 0.6168
0.6168 0.6168 0.1496
0.6168 0.6168 0.6168
0.6549 0.0000 0.0000
0.6549 0.0000 0.3451
0.6549 0.3451 0.0000
0.8504 0.3832 0.3832
```